This entry pairs a crystal structure of NaMgVO4 with its calculated powder X-ray diffraction pattern. Radiation: Cu Ka. Structure: a PBE+U-relaxed structure.
Intensities are scaled so that the largest is 100.

The 6 most intense peaks (2θ = 10–80°), by angle:
| 2θ (°) | intensity | hkl |
| --- | --- | --- |
| 20.02 | 100 | 1 0 1 |
| 32.51 | 75 | 1 1 2 |
| 39.70 | 15 | 2 1 1 |
| 51.24 | 14 | 1 2 3 |
| 57.10 | 19 | 2 0 4 |
| 59.80 | 18 | 3 1 2 |

```
data_NaMgVO4
_chemical_formula_sum 'Na2 Mg2 V2 O8'
_symmetry_space_group_name_H-M 'I -4'
_symmetry_Int_Tables_number 82
_cell_length_a 5.2861
_cell_length_b 5.2861
_cell_length_c 8.1452
_cell_angle_alpha 90.00
_cell_angle_beta 90.00
_cell_angle_gamma 90.00
loop_
_symmetry_equiv_pos_as_xyz
'x,y,z'
'y,-x,-z'
'-x,-y,z'
'-y,x,-z'
'x+1/2,y+1/2,z+1/2'
'y+1/2,-x+1/2,-z+1/2'
'-x+1/2,-y+1/2,z+1/2'
'-y+1/2,x+1/2,-z+1/2'
loop_
_atom_site_label
_atom_site_type_symbol
_atom_site_fract_x
_atom_site_fract_y
_atom_site_fract_z
_atom_site_occupancy
Na1 Na 0.0000 0.0000 0.0000 1
Mg1 Mg 0.0000 0.0000 0.5000 1
V1 V 0.0000 0.5000 0.7500 1
O1 O 0.1545 0.2791 0.6270 1
```